1.
Calculated X-ray powder pattern of K2ReTcN4 for Cu Kα, from a structure optimized by DFT (PBE).

Peak list (10 most intense, 2θ from 10° to 90°, by intensity)
- 2θ 33.46, I = 1000
- 2θ 19.43, I = 783
- 2θ 12.96, I = 744
- 2θ 29.93, I = 702
- 2θ 29.06, I = 597
- 2θ 40.72, I = 402
- 2θ 30.04, I = 399
- 2θ 57.58, I = 352
- 2θ 54.37, I = 249
- 2θ 48.55, I = 233

Atomic structure:
a b c (Å): 6.146 6.610 6.832
angles (deg): 90.00 90.00 90.00
Element x y z (fractional)
K 0.250 0.001 0.205
K 0.250 0.499 0.205
K 0.750 0.501 0.795
K 0.750 0.999 0.795
Re 0.250 0.750 0.652
Re 0.750 0.250 0.348
Tc 0.250 0.250 0.658
Tc 0.750 0.750 0.342
N 0.007 0.750 0.490
N 0.250 0.506 0.800
N 0.250 0.994 0.800
N 0.493 0.750 0.490
N 0.507 0.250 0.510
N 0.750 0.006 0.200
N 0.750 0.494 0.200
N 0.993 0.250 0.510

---

2.
Calculated X-ray powder pattern of TbPm2TmAs4 for Cu Kα, from a structure optimized by DFT (PBE).

Peak list (10 most intense, 2θ from 10° to 90°, by intensity)
- 2θ 30.31, I = 1000
- 2θ 43.39, I = 747
- 2θ 71.54, I = 335
- 2θ 53.84, I = 263
- 2θ 26.17, I = 212
- 2θ 79.61, I = 189
- 2θ 63.04, I = 122
- 2θ 51.38, I = 106
- 2θ 79.69, I = 61
- 2θ 69.46, I = 40

Atomic structure:
a b c (Å): 7.219 4.174 7.224
angles (deg): 90.00 109.48 90.00
Element x y z (fractional)
Tb 0.000 0.000 0.000
Pm 0.500 0.000 0.500
Pm 0.500 0.500 0.000
Tm 0.000 0.500 0.500
As 0.241 0.000 0.745
As 0.242 0.500 0.250
As 0.758 0.500 0.750
As 0.759 0.000 0.255

---

3.
Calculated X-ray powder pattern of Ac12Pr5Nd for Cu Kα, from a structure optimized by DFT (PBE).

Peak list (10 most intense, 2θ from 10° to 90°, by intensity)
- 2θ 27.99, I = 1000
- 2θ 32.31, I = 346
- 2θ 55.01, I = 314
- 2θ 46.62, I = 255
- 2θ 32.69, I = 168
- 2θ 55.51, I = 153
- 2θ 57.86, I = 137
- 2θ 46.34, I = 129
- 2θ 75.13, I = 127
- 2θ 77.15, I = 60

Atomic structure:
a b c (Å): 11.688 11.688 6.740
angles (deg): 106.18 106.18 60.32
Element x y z (fractional)
Ac 0.002 0.330 0.500
Ac 0.164 0.836 0.000
Ac 0.169 0.497 0.000
Ac 0.330 0.002 0.500
Ac 0.335 0.664 0.500
Ac 0.497 0.169 0.000
Ac 0.502 0.831 0.000
Ac 0.664 0.335 0.500
Ac 0.669 0.997 0.500
Ac 0.831 0.502 0.000
Ac 0.836 0.164 0.000
Ac 0.997 0.669 0.500
Pr 0.000 0.000 0.500
Pr 0.333 0.333 0.499
Pr 0.500 0.500 0.000
Pr 0.666 0.666 0.500
Pr 0.833 0.833 0.000
Nd 0.167 0.167 0.000

---

4.
Calculated X-ray powder pattern of HgSb3 for Cu Kα, from a structure optimized by DFT (PBE).

Peak list (10 most intense, 2θ from 10° to 90°, by intensity)
- 2θ 31.63, I = 1000
- 2θ 43.59, I = 828
- 2θ 29.21, I = 615
- 2θ 31.84, I = 491
- 2θ 43.75, I = 410
- 2θ 64.96, I = 251
- 2θ 69.96, I = 202
- 2θ 56.60, I = 190
- 2θ 73.82, I = 173
- 2θ 64.59, I = 128

Atomic structure:
a b c (Å): 3.273 6.114 5.621
angles (deg): 90.00 90.00 90.00
Element x y z (fractional)
Hg 0.000 0.000 0.000
Sb 0.000 0.500 0.002
Sb 0.500 0.000 0.500
Sb 0.500 0.500 0.502